(1)
# LaSBr
Computed PXRD pattern, Cu Kα (weighted mean of Kα1 and Kα2). Input: a DFT-relaxed cell (PBE, Alexandria).

Structure:
```
LaSBr
1.0
6.8351 3.9463 3.8674
-6.8351 3.9463 3.8674
0.0000 -7.8925 3.8674
La S Br
6 6 6
direct
0.1172 0.2501 0.6125
0.2501 0.6125 0.1172
0.3875 0.8828 0.7499
0.6125 0.1172 0.2501
0.7499 0.3875 0.8828
0.8828 0.7499 0.3875
0.0530 0.3298 0.9073
0.0927 0.9470 0.6702
0.3298 0.9073 0.0530
0.6702 0.0927 0.9470
0.9073 0.0530 0.3298
0.9470 0.6702 0.0927
0.1779 0.5694 0.4386
0.4306 0.5614 0.8221
0.4386 0.1779 0.5694
0.5614 0.8221 0.4306
0.5694 0.4386 0.1779
0.8221 0.4306 0.5614
```

The 10 most intense peaks (2θ = 10–80°), sorted by position:
| Position (°2θ) | intensity |
| --- | --- |
| 12.95 | 80 |
| 21.28 | 100 |
| 23.00 | 61 |
| 26.48 | 25 |
| 28.25 | 55 |
| 31.30 | 57 |
| 34.72 | 100 |
| 36.93 | 95 |
| 42.06 | 41 |
| 63.38 | 24 |



(2)
# La6Si2S3Br
Computed PXRD pattern, Cu Kα (weighted mean of Kα1 and Kα2). Input: a DFT-relaxed cell (PBE, Alexandria).

Structure:
```
La6Si2S3Br
1.0
9.2947 -2.1356 0.0000
9.2947 2.1356 0.0000
-1.8635 0.0000 8.3965
La Si S Br
6 2 3 1
direct
0.0018 0.0018 0.2743
0.3257 0.3257 0.9087
0.3330 0.3330 0.4166
0.6670 0.6670 0.5834
0.6743 0.6743 0.0913
0.9982 0.9982 0.7257
0.1643 0.1643 0.3287
0.8357 0.8357 0.6713
0.1637 0.1637 0.8363
0.5000 0.5000 0.5000
0.8363 0.8363 0.1637
0.5000 0.5000 0.0000
```

The 10 most intense peaks (2θ = 10–80°), sorted by position:
| Position (°2θ) | intensity |
| --- | --- |
| 25.23 | 14 |
| 25.55 | 42 |
| 29.50 | 100 |
| 41.99 | 36 |
| 42.32 | 13 |
| 42.45 | 24 |
| 50.05 | 14 |
| 52.45 | 13 |
| 69.10 | 14 |
| 77.36 | 8 |



(3)
# La9Sb16Br3
Computed PXRD pattern, Cu Kα (weighted mean of Kα1 and Kα2). Input: a DFT-relaxed cell (PBE, Alexandria).

Structure:
```
La9Sb16Br3
1.0
21.4735 0.0000 0.0000
-10.7367 18.5966 0.0000
0.0000 0.0000 4.3493
La Sb Br
18 32 6
direct
0.0072 0.6053 0.2500
0.0946 0.8487 0.2500
0.1513 0.2459 0.2500
0.2330 0.5418 0.7500
0.2459 0.0946 0.7500
0.3088 0.7670 0.7500
0.3947 0.4019 0.2500
0.4019 0.0072 0.7500
0.4582 0.6912 0.7500
0.5418 0.3088 0.2500
0.5981 0.9928 0.2500
0.6053 0.5981 0.7500
0.6912 0.2330 0.2500
0.7541 0.9054 0.2500
0.7670 0.4582 0.2500
0.8487 0.7541 0.7500
0.9054 0.1513 0.7500
0.9928 0.3947 0.7500
0.0103 0.2861 0.2500
0.1040 0.5157 0.2500
0.1310 0.3574 0.7500
0.1374 0.6287 0.7500
0.1777 0.7496 0.2500
0.2264 0.8690 0.7500
0.2504 0.4281 0.2500
0.2758 0.9897 0.2500
0.2861 0.2758 0.7500
0.3333 0.6667 0.2500
0.3574 0.2264 0.2500
0.3713 0.5087 0.7500
0.4117 0.8960 0.2500
0.4281 0.1777 0.7500
0.4843 0.5883 0.2500
0.4913 0.8626 0.7500
0.5087 0.1374 0.2500
0.5157 0.4117 0.7500
0.5719 0.8223 0.2500
0.5883 0.1040 0.7500
0.6287 0.4913 0.2500
0.6426 0.7736 0.7500
0.6667 0.3333 0.7500
0.7139 0.7242 0.2500
0.7242 0.0103 0.7500
0.7496 0.5719 0.7500
0.7736 0.1310 0.2500
0.8223 0.2504 0.7500
0.8626 0.3713 0.2500
0.8690 0.6426 0.2500
0.8960 0.4843 0.7500
0.9897 0.7139 0.7500
0.0506 0.1498 0.7500
0.0992 0.9494 0.7500
0.1498 0.0992 0.2500
0.8502 0.9008 0.7500
0.9008 0.0506 0.2500
0.9494 0.8502 0.2500
```

The 10 most intense peaks (2θ = 10–80°), sorted by position:
| Position (°2θ) | intensity |
| --- | --- |
| 25.34 | 25 |
| 29.21 | 12 |
| 29.32 | 41 |
| 32.40 | 27 |
| 32.76 | 100 |
| 33.84 | 12 |
| 34.79 | 13 |
| 39.69 | 12 |
| 41.52 | 37 |
| 66.56 | 13 |



(4)
# LaSe2Br
Computed PXRD pattern, Cu Kα (weighted mean of Kα1 and Kα2). Input: a DFT-relaxed cell (PBE, Alexandria).

Structure:
```
LaSe2Br
1.0
10.9687 0.0000 0.0000
0.0000 4.2006 0.0000
-1.0944 0.0000 5.1811
La Se Br
2 4 2
direct
0.0000 0.0000 0.0000
0.5000 0.5000 0.0000
0.1501 0.5000 0.3270
0.4823 0.0000 0.5533
0.6501 0.0000 0.3270
0.9823 0.5000 0.5533
0.2829 0.0000 0.9104
0.7829 0.5000 0.9104
```

The 10 most intense peaks (2θ = 10–80°), sorted by position:
| Position (°2θ) | intensity |
| --- | --- |
| 16.52 | 25 |
| 27.52 | 25 |
| 29.63 | 100 |
| 32.89 | 26 |
| 34.32 | 16 |
| 34.69 | 52 |
| 35.22 | 17 |
| 39.74 | 17 |
| 43.07 | 23 |
| 47.58 | 16 |



(5)
# La4Se5Br
Computed PXRD pattern, Cu Kα (weighted mean of Kα1 and Kα2). Input: a DFT-relaxed cell (PBE, Alexandria).

Structure:
```
La4Se5Br
1.0
9.4136 0.0000 0.0000
0.0000 10.1090 0.0000
0.0000 0.0000 7.3227
La Se Br
8 10 2
direct
0.0236 0.2500 0.0301
0.2500 0.0154 0.5191
0.2500 0.4846 0.5191
0.4764 0.2500 0.0301
0.5236 0.7500 0.9699
0.7500 0.5154 0.4809
0.7500 0.9846 0.4809
0.9764 0.7500 0.9699
0.0119 0.5413 0.2471
0.0119 0.9587 0.2471
0.2500 0.2500 0.2979
0.4881 0.5413 0.2471
0.4881 0.9587 0.2471
0.5119 0.0413 0.7529
0.5119 0.4587 0.7529
0.7500 0.7500 0.7021
0.9881 0.0413 0.7529
0.9881 0.4587 0.7529
0.2500 0.7500 0.7330
0.7500 0.2500 0.2670
```

The 10 most intense peaks (2θ = 10–80°), sorted by position:
| Position (°2θ) | intensity |
| --- | --- |
| 21.36 | 54 |
| 22.46 | 62 |
| 29.17 | 20 |
| 35.52 | 22 |
| 35.79 | 100 |
| 38.24 | 23 |
| 41.08 | 16 |
| 42.43 | 22 |
| 44.22 | 13 |
| 67.55 | 15 |



(6)
# LaSe4Br
Computed PXRD pattern, Cu Kα (weighted mean of Kα1 and Kα2). Input: a DFT-relaxed cell (PBE, Alexandria).

Structure:
```
LaSe4Br
1.0
0.0000 4.1173 4.1173
4.1173 0.0000 4.1173
4.1173 4.1173 0.0000
La Se Br
1 4 1
direct
0.0000 0.0000 0.0000
0.1230 0.6257 0.6257
0.6257 0.1230 0.6257
0.6257 0.6257 0.1230
0.6257 0.6257 0.6257
0.2500 0.2500 0.2500
```

The 10 most intense peaks (2θ = 10–80°), sorted by position:
| Position (°2θ) | intensity |
| --- | --- |
| 18.66 | 3 |
| 30.71 | 37 |
| 36.18 | 100 |
| 37.85 | 31 |
| 54.60 | 14 |
| 58.22 | 33 |
| 63.96 | 27 |
| 72.61 | 6 |
| 75.75 | 11 |
| 76.78 | 11 |